Entry 1:
Structure and theoretical powder X-ray diffraction pattern of NdMg11 (a cell relaxed with PBE; Cu Kα (λ = 1.5418 Å)).

Principal peaks in the range 2θ from 10° to 90°, by intensity:
d/Å	2theta	I_rel	(hkl)
2.758	32.46	1000	3 1 2
2.720	32.93	513	4 2 0
3.103	28.77	420	3 2 1
4.482	19.81	343	2 1 1
3.592	24.79	295	1 1 2
6.629	13.36	268	1 0 1
1.577	58.51	255	5 5 2
1.846	49.37	237	5 3 2
2.576	34.83	232	1 0 3
6.082	14.56	193	2 0 0

Cell: 12.164 12.164 7.906 Å, 90.00 90.00 90.00°
Space group I4_1/amd (No. 141, origin choice 2)
One atom of each set of equivalent atoms:
Nd1 0.000 0.250 0.375 [4 per cell]
Mg1 0.000 0.000 0.000 [8 per cell]
Mg2 0.000 0.250 0.875 [4 per cell]
Mg3 0.122 0.045 0.675 [32 per cell]



Entry 2:
Structure and theoretical powder X-ray diffraction pattern of TcSnIrOsS (a cell relaxed with PBE; Cu Kα (λ = 1.5418 Å)).

Principal peaks in the range 2θ from 10° to 90°, by intensity:
d/Å	2theta	I_rel	(hkl)
2.168	41.65	1000	1 1 1
2.123	42.59	410	5 1 0
2.531	35.46	314	3 1 0
2.351	38.28	297	6 0 -1
2.361	38.11	289	4 0 1
2.965	30.15	277	2 0 1
2.953	30.27	263	4 0 -1
1.800	50.73	254	2 0 -2
3.897	22.82	219	4 0 0
1.949	46.59	207	8 0 0

Cell: 15.983 2.899 3.599 Å, 90.00 102.77 90.00°
Space group Cm (No. 8)
One atom of each set of equivalent atoms:
Tc1 0.000 0.000 0.000 [2 per cell]
Sn1 0.200 0.000 0.199 [2 per cell]
Ir1 0.087 0.500 0.586 [2 per cell]
Os1 0.348 0.000 0.852 [2 per cell]
S1 0.394 0.500 0.397 [2 per cell]



Entry 3:
Structure and theoretical powder X-ray diffraction pattern of SiPPd4 (a cell relaxed with PBE; Cu Kα (λ = 1.5418 Å)).

Principal peaks in the range 2θ from 10° to 90°, by intensity:
d/Å	2theta	I_rel	(hkl)
2.394	37.57	1000	1 1 4
2.361	38.11	366	2 1 0
2.151	41.99	319	3 0 1
1.711	53.56	200	0 2 0
1.900	47.88	189	3 0 4
3.350	26.61	162	1 0 4
2.307	39.04	158	0 1 5
1.952	46.52	131	0 0 8
2.335	38.56	127	2 1 1
2.257	39.95	118	2 0 5

Cell: 6.524 3.422 15.618 Å, 90.00 90.00 90.00°
Space group Pnma (No. 62)
One atom of each set of equivalent atoms:
Si1 0.215 0.250 0.190 [4 per cell]
P1 0.237 0.750 0.439 [4 per cell]
Pd1 0.017 0.750 0.286 [4 per cell]
Pd2 0.048 0.750 0.569 [4 per cell]
Pd3 0.104 0.750 0.064 [4 per cell]
Pd4 0.153 0.750 0.839 [4 per cell]



Entry 4:
Structure and theoretical powder X-ray diffraction pattern of Pr2BeHgPd6 (a cell relaxed with PBE; Cu Kα (λ = 1.5418 Å)).

Principal peaks in the range 2θ from 10° to 90°, by intensity:
d/Å	2theta	I_rel	(hkl)
2.297	39.22	1000	0 2 2
2.303	39.11	539	2 2 0
2.285	39.44	324	0 0 3
4.995	17.76	275	0 1 0
3.427	26.00	270	0 0 2
2.486	36.14	266	2 2 2
2.493	36.02	261	2 0 0
2.501	35.90	255	0 2 0
2.550	35.19	232	1 0 -2
1.486	62.49	208	2 -2 0

Cell: 5.926 5.936 7.638 Å, 67.66 67.43 60.14°
Space group P-1 (No. 2)
One atom of each set of equivalent atoms:
Pr1 0.248 0.246 0.255 [2 per cell]
Be1 0.500 0.500 0.500 [1 per cell]
Hg1 0.000 0.000 0.000 [1 per cell]
Pd1 0.207 0.731 0.326 [2 per cell]
Pd2 0.266 0.269 0.677 [2 per cell]
Pd3 0.267 0.798 0.671 [2 per cell]



Entry 5:
Structure and theoretical powder X-ray diffraction pattern of GaPt6Rh2 (a cell relaxed with PBE; Cu Kα (λ = 1.5418 Å)).

Principal peaks in the range 2θ from 10° to 90°, by intensity:
d/Å	2theta	I_rel	(hkl)
2.268	39.74	1000	3 0 1
1.961	46.31	323	3 3 0
1.183	81.34	251	6 3 1
1.390	67.36	212	3 3 2
1.971	46.04	166	0 0 2
1.188	80.96	129	3 0 3
1.134	85.66	112	6 0 2
1.386	67.57	104	6 0 0
2.706	33.11	49	2 1 1
5.882	15.06	42	1 1 0

Cell: 8.319 8.319 3.943 Å, 90.00 90.00 90.00°
Space group P4_2/mnm (No. 136)
One atom of each set of equivalent atoms:
Ga1 0.000 0.000 0.000 [2 per cell]
Pt1 0.002 0.328 0.000 [8 per cell]
Pt2 0.165 0.165 0.500 [4 per cell]
Rh1 0.162 0.838 0.500 [4 per cell]



Entry 6:
Structure and theoretical powder X-ray diffraction pattern of Zn3Br (a cell relaxed with PBE; Cu Kα (λ = 1.5418 Å)).

Principal peaks in the range 2θ from 10° to 90°, by intensity:
d/Å	2theta	I_rel	(hkl)
2.067	43.79	1000	1 3 1
5.732	15.46	710	0 0 1
2.866	31.21	434	0 0 2
2.189	41.23	338	2 0 0
1.752	52.22	301	1 0 3
3.480	25.60	263	1 0 1
3.808	23.36	235	1 1 0
3.172	28.14	221	1 1 1
1.740	52.60	191	2 0 2
1.913	47.53	180	0 3 2

Cell: 4.379 7.710 5.732 Å, 90.00 90.00 90.00°
Space group Pmmn (No. 59, origin choice 2)
One atom of each set of equivalent atoms:
Zn1 0.250 0.083 0.039 [4 per cell]
Zn2 0.250 0.750 0.077 [2 per cell]
Br1 0.250 0.250 0.441 [2 per cell]



Entry 7:
Structure and theoretical powder X-ray diffraction pattern of SrGeN (a cell relaxed with PBE; Cu Kα (λ = 1.5418 Å)).

Principal peaks in the range 2θ from 10° to 90°, by intensity:
d/Å	2theta	I_rel	(hkl)
2.762	32.42	1000	2 0 0
2.704	33.13	978	1 1 -2
1.953	46.50	352	2 2 0
1.584	58.26	296	3 1 -2
1.854	49.15	179	0 2 3
2.499	35.94	154	0 0 3
1.235	77.24	151	4 2 0
2.105	42.97	132	1 1 3
1.400	66.85	123	1 1 5
1.381	67.87	109	4 0 0

Cell: 5.524 5.523 7.496 Å, 90.00 90.13 90.00°
Space group C2/m (No. 12)
One atom of each set of equivalent atoms:
Sr1 0.249 0.000 0.336 [4 per cell]
Ge1 0.249 0.500 0.075 [4 per cell]
N1 0.249 0.500 0.320 [4 per cell]